Entry 1:
NaZnFeH6: calculated powder XRD pattern (Cu Kα (λ = 1.5418 Å)), based on a PBE-relaxed structure.

Peak list (10 most intense, 5 to 70 degrees two-theta, in order of falling intensity)
2theta	d/Å	intensity
19.0	4.661	100
30.6	2.918	96
39.8	2.263	56
44.5	2.036	43
56.7	1.624	39
29.3	3.044	38
38.6	2.330	30
23.8	3.741	27
42.8	2.114	24
59.0	1.566	18

Crystal structure
```
NaZnFeH6
1.0
2.114 -4.019 0.000
2.114 4.019 0.000
-0.001 0.000 4.661
Na Zn Fe H
1 1 1 6
Direct
0.000 0.000 0.000
0.687 0.313 0.500
0.369 0.631 0.500
0.083 0.533 0.269
0.083 0.536 0.731
0.464 0.917 0.269
0.467 0.917 0.731
0.506 0.492 0.745
0.508 0.494 0.255
```


Entry 2:
MgHN: calculated powder XRD pattern (Cu Kα (λ = 1.5418 Å)), based on a PBE-relaxed structure.

Peak list (10 most intense, 5 to 70 degrees two-theta, in order of falling intensity)
2theta	d/Å	intensity
27.5	3.244	100
42.7	2.117	74
31.9	2.805	46
51.4	1.777	37
51.7	1.769	37
56.8	1.622	27
64.0	1.455	10
64.4	1.446	10
67.0	1.396	8
39.4	2.285	7

Crystal structure
```
MgHN
1.0
5.586 0.000 0.000
0.000 4.605 0.000
0.000 0.000 4.571
Mg H N
4 4 4
Direct
0.000 0.000 0.000
0.000 0.500 0.500
0.500 0.000 0.000
0.500 0.500 0.500
0.250 0.066 0.437
0.250 0.566 0.937
0.750 0.434 0.937
0.750 0.934 0.437
0.250 0.227 0.277
0.250 0.727 0.777
0.750 0.273 0.777
0.750 0.773 0.277
```


Entry 3:
Dy8SbC4: calculated powder XRD pattern (Cu Kα (λ = 1.5418 Å)), based on a PBE-relaxed structure.

Peak list (10 most intense, 5 to 70 degrees two-theta, in order of falling intensity)
2theta	d/Å	intensity
32.0	2.794	100
33.5	2.672	93
31.2	2.869	71
32.7	2.736	45
34.8	2.581	42
52.2	1.753	38
28.9	3.085	31
60.3	1.535	22
50.2	1.817	22
55.0	1.669	20

Crystal structure
```
Dy8SbC4
1.0
8.654 -1.817 0.000
8.654 1.817 0.000
-7.730 0.000 8.960
Dy Sb C
8 1 4
Direct
0.042 0.042 0.238
0.297 0.297 0.432
0.335 0.335 0.162
0.369 0.369 0.913
0.631 0.631 0.087
0.665 0.665 0.838
0.703 0.703 0.568
0.958 0.958 0.762
0.000 0.000 0.500
0.148 0.148 0.959
0.333 0.333 0.670
0.667 0.667 0.330
0.852 0.852 0.041
```


Entry 4:
Cs2BeCd: calculated powder XRD pattern (Cu Kα (λ = 1.5418 Å)), based on a PBE-relaxed structure.

Peak list (10 most intense, 5 to 70 degrees two-theta, in order of falling intensity)
2theta	d/Å	intensity
26.4	3.379	100
24.6	3.615	100
36.4	2.469	82
22.7	3.924	42
35.1	2.556	36
51.5	1.776	29
17.3	5.112	29
51.0	1.790	27
63.4	1.466	24
57.8	1.594	21

Crystal structure
```
Cs2BeCd
1.0
10.225 0.000 0.000
0.000 10.225 0.000
0.000 0.000 7.645
Cs Be Cd
8 4 4
Direct
0.223 0.750 0.125
0.250 0.223 0.875
0.250 0.277 0.375
0.277 0.750 0.625
0.723 0.250 0.625
0.750 0.723 0.375
0.750 0.777 0.875
0.777 0.250 0.125
0.000 0.000 0.000
0.000 0.500 0.250
0.500 0.000 0.750
0.500 0.500 0.500
0.000 0.000 0.500
0.000 0.500 0.750
0.500 0.000 0.250
0.500 0.500 0.000
```


Please write out number 4 again, unchanged.
Cs2BeCd: calculated powder XRD pattern (Cu Kα (λ = 1.5418 Å)), based on a PBE-relaxed structure.

Peak list (10 most intense, 5 to 70 degrees two-theta, in order of falling intensity)
2theta	d/Å	intensity
26.4	3.379	100
24.6	3.615	100
36.4	2.469	82
22.7	3.924	42
35.1	2.556	36
51.5	1.776	29
17.3	5.112	29
51.0	1.790	27
63.4	1.466	24
57.8	1.594	21

Crystal structure
```
Cs2BeCd
1.0
10.225 0.000 0.000
0.000 10.225 0.000
0.000 0.000 7.645
Cs Be Cd
8 4 4
Direct
0.223 0.750 0.125
0.250 0.223 0.875
0.250 0.277 0.375
0.277 0.750 0.625
0.723 0.250 0.625
0.750 0.723 0.375
0.750 0.777 0.875
0.777 0.250 0.125
0.000 0.000 0.000
0.000 0.500 0.250
0.500 0.000 0.750
0.500 0.500 0.500
0.000 0.000 0.500
0.000 0.500 0.750
0.500 0.000 0.250
0.500 0.500 0.000
```